1.
Theoretical X-ray powder pattern
Compound: Tb14PuZr
Radiation: Cu Kα
Structure: a cell relaxed with GGA-PBE
No peak broadening, texture or thermal motion is included.

Structural model:
```
data_Tb14PuZr
_space_group_name_H-M_alt 'P 4/m m m'
_space_group_IT_number 123
_space_group_name_Hall '-P 4 2'
_cell_length_a 7.054
_cell_length_b 7.054
_cell_length_c 9.928
_cell_angle_alpha 90.00
_cell_angle_beta 90.00
_cell_angle_gamma 90.00
loop_
_atom_site_label
_atom_site_type_symbol
_atom_site_fract_x
_atom_site_fract_y
_atom_site_fract_z
_atom_site_occupancy
Tb1 Tb 0.000 0.000 0.000 1
Tb2 Tb 0.000 0.500 0.000 1
Tb3 Tb 0.000 0.500 0.500 1
Tb4 Tb 0.247 0.247 0.257 1
Tb5 Tb 0.500 0.500 0.000 1
Pu1 Pu 0.500 0.500 0.500 1
Zr1 Zr 0.000 0.000 0.500 1
```

Largest 8 diffraction maxima, in order of falling intensity, 10° ≤ 2θ ≤ 80°:
2θ = 31.10°, d = 2.875 Å, I = 1000; 2θ = 36.01°, d = 2.494 Å, I = 340; 2θ = 61.70°, d = 1.503 Å, I = 284; 2θ = 51.98°, d = 1.759 Å, I = 235; 2θ = 36.19°, d = 2.482 Å, I = 165; 2θ = 61.94°, d = 1.498 Å, I = 136; 2θ = 64.86°, d = 1.438 Å, I = 121; 2θ = 51.84°, d = 1.764 Å, I = 121

***

2.
Theoretical X-ray powder pattern
Compound: Pu4Tc
Radiation: Cu Kα
Structure: a cell relaxed with GGA-PBE
No peak broadening, texture or thermal motion is included.

Structural model:
```
data_Pu4Tc
_space_group_name_H-M_alt 'P m -3 m'
_space_group_IT_number 221
_space_group_name_Hall '-P 4 2 3'
_cell_length_a 5.252
_cell_length_b 5.252
_cell_length_c 5.252
_cell_angle_alpha 90.00
_cell_angle_beta 90.00
_cell_angle_gamma 90.00
loop_
_atom_site_label
_atom_site_type_symbol
_atom_site_fract_x
_atom_site_fract_y
_atom_site_fract_z
_atom_site_occupancy
Pu1 Pu 0.000 0.000 0.000 1
Pu2 Pu 0.000 0.500 0.500 1
Tc1 Tc 0.500 0.500 0.500 1
```

Largest 8 diffraction maxima, in order of falling intensity, 10° ≤ 2θ ≤ 80°:
2θ = 29.46°, d = 3.032 Å, I = 1000; 2θ = 34.14°, d = 2.626 Å, I = 794; 2θ = 49.06°, d = 1.857 Å, I = 586; 2θ = 58.26°, d = 1.584 Å, I = 467; 2θ = 61.12°, d = 1.516 Å, I = 205; 2θ = 79.55°, d = 1.205 Å, I = 196; 2θ = 71.91°, d = 1.313 Å, I = 96; 2θ = 16.88°, d = 5.252 Å, I = 44

***

3.
Theoretical X-ray powder pattern
Compound: Pu2Tc
Radiation: Cu Kα
Structure: a cell relaxed with GGA-PBE
No peak broadening, texture or thermal motion is included.

Structural model:
```
data_Pu2Tc
_space_group_name_H-M_alt 'I 4/m m m'
_space_group_IT_number 139
_space_group_name_Hall '-I 4 2'
_cell_length_a 3.201
_cell_length_b 3.201
_cell_length_c 9.666
_cell_angle_alpha 90.00
_cell_angle_beta 90.00
_cell_angle_gamma 90.00
loop_
_atom_site_label
_atom_site_type_symbol
_atom_site_fract_x
_atom_site_fract_y
_atom_site_fract_z
_atom_site_occupancy
Pu1 Pu 0.000 0.000 0.191 1
Tc1 Tc 0.000 0.000 0.500 1
```

Largest 8 diffraction maxima, in order of falling intensity, 10° ≤ 2θ ≤ 80°:
2θ = 39.70°, d = 2.271 Å, I = 1000; 2θ = 39.83°, d = 2.263 Å, I = 591; 2θ = 18.36°, d = 4.833 Å, I = 360; 2θ = 72.22°, d = 1.308 Å, I = 354; 2θ = 57.60°, d = 1.600 Å, I = 205; 2θ = 55.54°, d = 1.655 Å, I = 177; 2θ = 44.19°, d = 2.050 Å, I = 166; 2θ = 71.95°, d = 1.312 Å, I = 98

***

4.
Theoretical X-ray powder pattern
Compound: Pu2U5Tc5
Radiation: Cu Kα
Structure: a cell relaxed with GGA-PBE
No peak broadening, texture or thermal motion is included.

Structural model:
```
data_Pu2U5Tc5
_space_group_name_H-M_alt 'P -1'
_space_group_IT_number 2
_cell_length_a 4.525
_cell_length_b 5.468
_cell_length_c 9.999
_cell_angle_alpha 91.82
_cell_angle_beta 103.08
_cell_angle_gamma 114.39
loop_
_space_group_symop_operation_xyz
'x,y,z'
'-x,-y,-z'
loop_
_atom_site_label
_atom_site_type_symbol
_atom_site_fract_x
_atom_site_fract_y
_atom_site_fract_z
_atom_site_occupancy
Pu1 Pu 0.173 0.090 0.255 1
U1 U 0.199 0.368 0.029 1
U2 U 0.481 0.220 0.744 1
U3 U 0.500 0.500 0.500 1
Tc1 Tc 0.146 0.785 0.503 1
Tc2 Tc 0.156 0.560 0.753 1
Tc3 Tc 0.500 0.000 0.000 1
```

Largest 8 diffraction maxima, in order of falling intensity, 10° ≤ 2θ ≤ 80°:
2θ = 38.88°, d = 2.316 Å, I = 1000; 2θ = 38.07°, d = 2.364 Å, I = 971; 2θ = 37.30°, d = 2.411 Å, I = 516; 2θ = 39.84°, d = 2.263 Å, I = 487; 2θ = 55.72°, d = 1.650 Å, I = 336; 2θ = 27.64°, d = 3.227 Å, I = 177; 2θ = 71.69°, d = 1.316 Å, I = 172; 2θ = 21.83°, d = 4.071 Å, I = 171